1.
Computed XRD peak list
Compound: AlTl2CrF
Radiation: Cu Kα (weighted mean of Kα1 and Kα2)
Structure: the GGA+U geometry in Alexandria
Lines closer than 0.1° are merged.

Main lines, by intensity (5 to 70 degrees two-theta):
2θ 32.08, 2.790 Å, I 100; 2θ 31.90, 2.805 Å, I 60; 2θ 22.41, 3.967 Å, I 49; 2θ 56.96, 1.617 Å, I 40; 2θ 22.65, 3.925 Å, I 32; 2θ 39.48, 2.282 Å, I 31; 2θ 57.29, 1.608 Å, I 22; 2θ 45.74, 1.984 Å, I 22; 2θ 51.63, 1.770 Å, I 15; 2θ 67.09, 1.395 Å, I 14; 2θ 51.51, 1.774 Å, I 12; 2θ 51.98, 1.759 Å, I 12

Cell and atoms:
```
data_AlTl2CrF
_chemical_formula_sum 'Al1 Tl2 Cr1 F1'
_cell_length_a 5.6106
_cell_length_b 5.6106
_cell_length_c 3.9253
_cell_angle_alpha 90.00
_cell_angle_beta 90.00
_cell_angle_gamma 90.00
_symmetry_space_group_name_H-M 'P 4/m m m'
_symmetry_Int_Tables_number 123
_symmetry_space_group_name_Hall '-P 4 2'
loop_
_atom_site_label
_atom_site_type_symbol
_atom_site_fract_x
_atom_site_fract_y
_atom_site_fract_z
_atom_site_occupancy
Al1 Al 0.0000 0.0000 0.0000 1
Tl1 Tl 0.0000 0.5000 0.5000 1
Cr1 Cr 0.5000 0.5000 0.0000 1
F1 F 0.5000 0.5000 0.5000 1
```

---

2.
Computed XRD peak list
Compound: AlTlCrF6
Radiation: Cu Kα (weighted mean of Kα1 and Kα2)
Structure: the GGA+U geometry in Alexandria
Lines closer than 0.1° are merged.

Main lines, by intensity (5 to 70 degrees two-theta):
2θ 23.73, 3.749 Å, I 100; 2θ 24.08, 3.695 Å, I 95; 2θ 24.46, 3.639 Å, I 92; 2θ 18.70, 4.746 Å, I 52; 2θ 45.64, 1.988 Å, I 40; 2θ 33.51, 2.674 Å, I 33; 2θ 36.68, 2.450 Å, I 25; 2θ 19.39, 4.578 Å, I 24; 2θ 49.75, 1.833 Å, I 23; 2θ 32.26, 2.775 Å, I 22; 2θ 40.68, 2.218 Å, I 21; 2θ 44.07, 2.055 Å, I 21

Cell and atoms:
```
data_AlTlCrF6
_chemical_formula_sum 'Al2 Tl2 Cr2 F12'
_cell_length_a 5.5499
_cell_length_b 9.1558
_cell_length_c 6.0007
_cell_angle_alpha 90.00
_cell_angle_beta 91.00
_cell_angle_gamma 90.00
_symmetry_space_group_name_H-M 'C 1 2 1'
_symmetry_Int_Tables_number 5
loop_
_symmetry_equiv_pos_as_xyz
'x,y,z'
'-x,y,-z'
'x+1/2,y+1/2,z'
'-x+1/2,y+1/2,-z'
loop_
_atom_site_label
_atom_site_type_symbol
_atom_site_fract_x
_atom_site_fract_y
_atom_site_fract_z
_atom_site_occupancy
Al1 Al 0.0000 0.0000 0.0000 1
Tl1 Tl 0.0000 0.6687 0.5000 1
Cr1 Cr 0.0000 0.3352 0.0000 1
F1 F 0.1152 0.1544 0.1753 1
F2 F 0.1392 0.8703 0.1882 1
F3 F 0.2140 0.4907 0.1571 1
```